The following is a theoretical powder diffraction line list of Tb2B6Os. It was derived from a crystal structure in the Materials Project, relaxed with PBE, using CuKα.

Atomic structure:
a = 9.1997 Å, b = 11.5721 Å, c = 3.6789 Å
α = 90.00°, β = 90.00°, γ = 90.00°
Sites, in units of the cell vectors:
Tb 0.0551 0.1268 0.0000
Tb 0.1774 0.4135 0.0000
Tb 0.3226 0.9135 0.0000
Tb 0.4449 0.6268 0.0000
Tb 0.5551 0.3732 0.0000
Tb 0.6774 0.0865 0.0000
Tb 0.8226 0.5865 0.0000
Tb 0.9449 0.8732 0.0000
B 0.0150 0.2870 0.5000
B 0.0545 0.5672 0.5000
B 0.1120 0.9690 0.5000
B 0.1330 0.8139 0.5000
B 0.2090 0.2321 0.5000
B 0.2480 0.5796 0.5000
B 0.2520 0.0796 0.5000
B 0.2910 0.7321 0.5000
B 0.3670 0.3139 0.5000
B 0.3880 0.4690 0.5000
B 0.4455 0.0672 0.5000
B 0.4850 0.7870 0.5000
B 0.5150 0.2130 0.5000
B 0.5545 0.9328 0.5000
B 0.6120 0.5310 0.5000
B 0.6330 0.6861 0.5000
B 0.7090 0.2679 0.5000
B 0.7480 0.9204 0.5000
B 0.7520 0.4204 0.5000
B 0.7910 0.7679 0.5000
B 0.8670 0.1861 0.5000
B 0.8880 0.0310 0.5000
B 0.9455 0.4328 0.5000
B 0.9850 0.7130 0.5000
Os 0.1383 0.6784 0.0000
Os 0.3617 0.1784 0.0000
Os 0.6383 0.8216 0.0000
Os 0.8617 0.3216 0.0000

Peak list (10 most intense, 2θ from 15° to 90°, in order of rising 2θ)
d_spacing, Rel. int.
3.679, 100
2.960, 63
2.760, 30
2.710, 24
2.306, 77
2.274, 25
2.208, 37
2.182, 30
2.010, 21
1.839, 22